Starting from a DFT-relaxed cell (PBE, Alexandria), the powder XRD pattern of PaCu3Pb4O12 was computed for CuKα.
Kinematic intensities with the Lorentz-polarization factor, no thermal factor.

Peak list (10 most intense, 2θ from 15° to 90°, in order of rising 2θ)
2θ (°), d/Å, I (rel.)
15.59, 5.684, 8
22.12, 4.019, 8
27.17, 3.282, 5
31.48, 2.842, 100
38.81, 2.321, 9
45.11, 2.010, 27
56.05, 1.641, 41
65.71, 1.421, 17
74.68, 1.271, 18
83.28, 1.160, 6

Structure:
Unit cell a=8.0386 b=8.0386 c=8.0386 alpha=90.00 beta=90.00 gamma=90.00
Space group Im-3m (No. 229)
Inequivalent atoms, fractional coordinates:
Pa (0.0000, 0.0000, 0.0000) x2
Cu (0.0000, 0.0000, 0.5000) x6
Pb (0.2500, 0.2500, 0.2500) x8
O (0.0000, 0.0000, 0.2641) x12
O (0.0000, 0.2500, 0.5000) x12

***

Starting from a DFT-relaxed cell (PBE, Alexandria), the powder XRD pattern of HoHfZnAu was computed for CuKα.
Kinematic intensities with the Lorentz-polarization factor, no thermal factor.

Peak list (10 most intense, 2θ from 15° to 90°, in order of rising 2θ)
2θ (°), d/Å, I (rel.)
22.21, 4.003, 10
36.66, 2.451, 100
43.28, 2.090, 6
52.82, 1.733, 18
57.98, 1.591, 2
66.02, 1.415, 36
70.59, 1.334, 2
77.96, 1.226, 11
82.27, 1.172, 2
89.38, 1.096, 17

Structure:
Unit cell a=6.9330 b=6.9330 c=6.9330 alpha=90.00 beta=90.00 gamma=90.00
Space group F-43m (No. 216)
Inequivalent atoms, fractional coordinates:
Ho (0.0000, 0.0000, 0.0000) x4
Hf (0.0000, 0.0000, 0.5000) x4
Zn (0.2500, 0.2500, 0.7500) x4
Au (0.2500, 0.2500, 0.2500) x4